1.
This entry pairs a crystal structure of SrCr3 with its computed PXRD pattern. Radiation: Cu Kα X-rays. Structure: a crystal structure in Alexandria, relaxed with PBE.
Neutral-atom scattering factors, no anomalous dispersion.

Peak list (10 most intense, 10° ≤ 2θ ≤ 90°, by intensity)
2θ/deg  d/Å  I_rel
30.3  2.948  100
41.8  2.163  86
29.9  2.990  76
33.4  2.685  61
12.6  7.022  60
56.4  1.631  56
43.4  2.083  52
35.5  2.531  51
53.9  1.701  37
57.3  1.608  31

Crystal structure
```
data_SrCr3
_chemical_formula_sum 'Sr2 Cr6'
_symmetry_space_group_name_H-M 'P 1'
_symmetry_Int_Tables_number 1
_cell_length_a 4.166
_cell_length_b 5.426
_cell_length_c 7.022
_cell_angle_alpha 90.00
_cell_angle_beta 90.00
_cell_angle_gamma 90.00
loop_
_symmetry_equiv_pos_as_xyz
'x,y,z'
loop_
_atom_site_label
_atom_site_fract_x
_atom_site_fract_y
_atom_site_fract_z
Sr1 0.250 0.250 0.104
Sr2 0.750 0.750 0.896
Cr1 0.250 0.020 0.586
Cr2 0.250 0.480 0.586
Cr3 0.250 0.750 0.344
Cr4 0.750 0.250 0.656
Cr5 0.750 0.520 0.414
Cr6 0.750 0.980 0.414
```


2.
This entry pairs a crystal structure of SrCr3 with its computed PXRD pattern. Radiation: Cu Kα X-rays. Structure: a crystal structure in Alexandria, relaxed with PBE.
Neutral-atom scattering factors, no anomalous dispersion.

Peak list (10 most intense, 10° ≤ 2θ ≤ 90°, by intensity)
2θ/deg  d/Å  I_rel
42.9  2.109  100
30.9  2.894  93
32.9  2.719  72
15.3  5.788  54
36.8  2.440  48
31.8  2.814  47
53.3  1.719  44
46.6  1.949  39
26.2  3.401  38
54.3  1.690  31

Crystal structure
```
data_SrCr3
_chemical_formula_sum 'Sr1 Cr3'
_symmetry_space_group_name_H-M 'P 1'
_symmetry_Int_Tables_number 1
_cell_length_a 4.238
_cell_length_b 4.238
_cell_length_c 6.261
_cell_angle_alpha 109.78
_cell_angle_beta 109.78
_cell_angle_gamma 54.78
loop_
_symmetry_equiv_pos_as_xyz
'x,y,z'
loop_
_atom_site_label
_atom_site_fract_x
_atom_site_fract_y
_atom_site_fract_z
Sr1 0.000 0.000 0.000
Cr1 0.183 0.183 0.569
Cr2 0.500 0.500 0.500
Cr3 0.817 0.817 0.431
```


Number 1 is which compound?
SrCr3